No. 1
Diffraction record for La3TbDy7. The powder XRD pattern is simulated, not measured: it uses a crystal structure in Alexandria, relaxed with GGA-PBE and Cu Ka.
Peak positions follow from Bragg's law for the DFT cell and can differ from measured ones.

Structure:
a = 6.575 Å, b = 6.745 Å, c = 8.668 Å
α = 99.80°, β = 98.37°, γ = 95.30°
Space group P-1 (No. 2)
Asymmetric unit:
La1 0.000 0.000 0.000 (multiplicity 1)
La2 0.195 0.560 0.166 (multiplicity 2)
Tb1 0.500 0.000 0.500 (multiplicity 1)
Dy1 0.012 0.769 0.578 (multiplicity 2)
Dy2 0.284 0.275 0.787 (multiplicity 2)
Dy3 0.437 0.792 0.853 (multiplicity 2)
Dy4 0.500 0.500 0.500 (multiplicity 1)

Principal peaks in the range 2θ = 5–70°, in order of rising 2θ:
27.64 deg, rel. 13, hkl 2 0 0
31.21 deg, rel. 100, hkl 1 2 -1
31.76 deg, rel. 79, hkl -1 2 1
31.88 deg, rel. 62, hkl 2 -1 1
32.03 deg, rel. 52, hkl 2 0 -2
32.24 deg, rel. 33, hkl 0 1 -3
32.61 deg, rel. 17, hkl 1 0 -3
32.84 deg, rel. 34, hkl 1 1 2
34.28 deg, rel. 24, hkl 1 -2 2
57.31 deg, rel. 14, hkl -3 2 3

---

No. 2
Diffraction record for LaTb12Dy5. The powder XRD pattern is simulated, not measured: it uses a crystal structure in Alexandria, relaxed with GGA-PBE and Cu Ka.
Peak positions follow from Bragg's law for the DFT cell and can differ from measured ones.

Structure:
a = 15.132 Å, b = 15.138 Å, c = 5.043 Å
α = 90.00°, β = 90.00°, γ = 90.00°
Space group Cmmm (No. 65)
Asymmetric unit:
La1 0.000 0.000 0.000 (multiplicity 2)
Tb1 0.166 0.334 0.500 (multiplicity 8)
Tb2 0.166 0.500 0.000 (multiplicity 4)
Tb3 0.168 0.168 0.000 (multiplicity 8)
Tb4 0.169 0.000 0.500 (multiplicity 4)
Dy1 0.000 0.169 0.500 (multiplicity 4)
Dy2 0.000 0.333 0.000 (multiplicity 4)
Dy3 0.000 0.500 0.500 (multiplicity 2)

Principal peaks in the range 2θ = 5–70°, in order of rising 2θ:
30.70 deg, rel. 100, hkl 3 3 1
35.60 deg, rel. 51, hkl 6 0 0
51.22 deg, rel. 36, hkl 6 6 0
60.91 deg, rel. 43, hkl 3 3 3
63.93 deg, rel. 12, hkl 6 6 2

---

No. 3
Diffraction record for La4Tb6Dy. The powder XRD pattern is simulated, not measured: it uses a crystal structure in Alexandria, relaxed with GGA-PBE and Cu Ka.
Peak positions follow from Bragg's law for the DFT cell and can differ from measured ones.

Structure:
a = 6.808 Å, b = 6.808 Å, c = 16.848 Å
α = 90.00°, β = 90.00°, γ = 90.00°
Space group I-42m (No. 121)
Asymmetric unit:
La1 0.191 0.191 0.323 (multiplicity 8)
Tb1 0.000 0.500 0.000 (multiplicity 4)
Tb2 0.174 0.174 0.117 (multiplicity 8)
Dy1 0.000 0.000 0.500 (multiplicity 2)

Principal peaks in the range 2θ = 5–70°, in order of rising 2θ:
28.15 deg, rel. 56, hkl 1 1 4
28.28 deg, rel. 62, hkl 2 0 2
29.58 deg, rel. 38, hkl 1 0 5
29.82 deg, rel. 100, hkl 2 1 1
33.48 deg, rel. 23, hkl 2 1 3
33.86 deg, rel. 73, hkl 2 0 4
37.06 deg, rel. 29, hkl 1 1 6
37.36 deg, rel. 31, hkl 2 2 0
39.91 deg, rel. 23, hkl 2 1 5
55.95 deg, rel. 28, hkl 4 1 1